[1]
TlAsRhAuCl: computed powder diffractogram (λ = 1.5418 Å (Cu Kα)), based on a cell relaxed with GGA-PBE.
Lines closer than 0.1° are merged.

Main lines, low angle first (2θ from 5° to 70°):
- 16.19 deg, I = 89, (0 1 0)
- 24.61 deg, I = 45, (1 0 0)
- 28.45 deg, I = 75, (1 1 1)
- 28.61 deg, I = 77, (1 -1 0)
- 31.06 deg, I = 100, (0 0 2)
- 32.71 deg, I = 55, (0 2 0)
- 33.13 deg, I = 53, (1 0 2)
- 39.54 deg, I = 47, (1 1 -1)
- 39.67 deg, I = 64, (1 2 1)
- 45.59 deg, I = 50, (-1 1 2)

Atomic structure:
abc: 3.8099 5.6410 6.2305
angles: 76.62 72.22 89.62
Space group P1 (No. 1)
One atom of each set of equivalent atoms:
Tl (0.0000, 0.0000, 0.0000) x1
As (0.3057, 0.5159, 0.3946) x1
Rh (0.7590, 0.7084, 0.4850) x1
Au (0.2602, 0.0636, 0.4738) x1
Cl (0.5459, 0.5785, 0.9151) x1

***

[2]
CrAs2Au: computed powder diffractogram (λ = 1.5418 Å (Cu Kα)), based on a cell relaxed with GGA-PBE.
Lines closer than 0.1° are merged.

Main lines, low angle first (2θ from 5° to 70°):
- 23.16 deg, I = 38, (1 1 0)
- 23.28 deg, I = 31, (1 1 -1)
- 32.26 deg, I = 57, (2 0 -1)
- 33.85 deg, I = 100, (0 2 1)
- 42.11 deg, I = 14, (1 3 0)
- 47.32 deg, I = 39, (2 2 0)
- 47.43 deg, I = 19, (0 0 2)
- 47.59 deg, I = 38, (2 2 -2)
- 49.79 deg, I = 17, (0 4 0)
- 60.58 deg, I = 18, (2 4 -1)

Atomic structure:
abc: 5.5495 7.3260 4.7156
angles: 90.00 125.61 90.00
Space group C2/m (No. 12)
One atom of each set of equivalent atoms:
Cr (0.0000, 0.0000, 0.0000) x2
As (0.2500, 0.2500, 0.5000) x4
Au (0.0000, 0.5000, 0.0000) x2

***

[3]
CsAs2Au6: computed powder diffractogram (λ = 1.5418 Å (Cu Kα)), based on a cell relaxed with GGA-PBE.
Lines closer than 0.1° are merged.

Main lines, low angle first (2θ from 5° to 70°):
- 14.81 deg, I = 100, (0 0 2)
- 26.33 deg, I = 26, (1 1 -2)
- 29.88 deg, I = 33, (0 0 4)
- 31.28 deg, I = 71, (0 2 3)
- 37.97 deg, I = 95, (2 0 0)
- 40.97 deg, I = 88, (1 3 2)
- 49.05 deg, I = 33, (2 0 4)
- 49.98 deg, I = 25, (2 2 3)
- 50.93 deg, I = 37, (1 1 -6)
- 68.59 deg, I = 17, (0 6 0)

Atomic structure:
abc: 4.7405 8.2079 11.9599
angles: 90.00 90.00 90.00
Space group C2/m (No. 12)
One atom of each set of equivalent atoms:
Cs (0.0000, 0.0000, 0.0000) x2
As (0.0000, 0.1802, 0.5000) x4
Au (0.0015, 0.3336, 0.7625) x8
Au (0.0018, 0.0000, 0.6786) x4

***

[4]
Cs4TlAs2Au2: computed powder diffractogram (λ = 1.5418 Å (Cu Kα)), based on a cell relaxed with GGA-PBE.
Lines closer than 0.1° are merged.

Main lines, low angle first (2θ from 5° to 70°):
- 9.75 deg, I = 30, (0 1 1)
- 10.74 deg, I = 47, (0 0 2)
- 23.22 deg, I = 46, (1 1 2)
- 25.59 deg, I = 64, (1 2 1)
- 27.17 deg, I = 100, (0 2 4)
- 32.98 deg, I = 57, (0 4 0)
- 38.17 deg, I = 25, (2 0 0)
- 38.84 deg, I = 25, (1 1 6)
- 47.47 deg, I = 58, (2 2 4)
- 51.30 deg, I = 24, (2 4 0)

Atomic structure:
abc: 4.7161 10.8695 16.4755
angles: 90.00 90.00 90.00
Space group Immm (No. 71)
One atom of each set of equivalent atoms:
Cs (0.0000, 0.2338, 0.1347) x8
Tl (0.0000, 0.0000, 0.5000) x2
As (0.0000, 0.0000, 0.2976) x4
Au (0.0000, 0.5000, 0.2559) x4

***

[5]
Cu14AsAu: computed powder diffractogram (λ = 1.5418 Å (Cu Kα)), based on a cell relaxed with GGA-PBE.
Lines closer than 0.1° are merged.

Main lines, low angle first (2θ from 5° to 70°):
- 21.87 deg, I = 10, (1 1 1)
- 40.39 deg, I = 49, (1 2 2)
- 42.12 deg, I = 28, (1 0 4)
- 42.66 deg, I = 48, (4 0 0)
- 44.60 deg, I = 100, (2 2 2)
- 46.20 deg, I = 32, (2 0 4)
- 51.00 deg, I = 24, (3 2 2)
- 52.45 deg, I = 14, (3 0 4)
- 68.61 deg, I = 11, (5 2 2)
- 69.25 deg, I = 11, (0 4 0)

Atomic structure:
abc: 8.4773 5.4273 8.8706
angles: 90.00 90.00 90.00
Space group Amm2 (No. 38)
One atom of each set of equivalent atoms:
Cu (0.0000, 0.0000, 0.0000) x2
Cu (0.0000, 0.0000, 0.4985) x2
Cu (0.0000, 0.2464, 0.7479) x4
Cu (0.2389, 0.2469, 0.9254) x8
Cu (0.2404, 0.0000, 0.1734) x4
Cu (0.2461, 0.0000, 0.6707) x4
Cu (0.5000, 0.2445, 0.0949) x4
As (0.5000, 0.0000, 0.8423) x2
Au (0.5000, 0.0000, 0.3476) x2

***

[6]
As2HAu: computed powder diffractogram (λ = 1.5418 Å (Cu Kα)), based on a cell relaxed with GGA-PBE.
Lines closer than 0.1° are merged.

Main lines, low angle first (2θ from 5° to 70°):
- 19.03 deg, I = 44, (1 0 1)
- 29.87 deg, I = 100, (1 1 2)
- 31.65 deg, I = 53, (1 0 3)
- 39.32 deg, I = 69, (2 1 1)
- 47.19 deg, I = 15, (2 1 3)
- 48.46 deg, I = 16, (1 0 5)
- 50.19 deg, I = 39, (2 0 4)
- 52.99 deg, I = 17, (3 0 1)
- 58.41 deg, I = 23, (3 1 2)
- 60.59 deg, I = 21, (1 1 6)

Atomic structure:
abc: 5.2625 5.2625 10.0552
angles: 90.00 90.00 90.00
Space group I-42d (No. 122)
One atom of each set of equivalent atoms:
As (0.1491, 0.2500, 0.1250) x8
H (0.0000, 0.0000, 0.0000) x4
Au (0.0000, 0.0000, 0.5000) x4

***

[7]
NaAsH2Au: computed powder diffractogram (λ = 1.5418 Å (Cu Kα)), based on a cell relaxed with GGA-PBE.
Lines closer than 0.1° are merged.

Main lines, low angle first (2θ from 5° to 70°):
- 14.24 deg, I = 17, (0 0 1)
- 23.72 deg, I = 24, (1 0 0)
- 27.77 deg, I = 100, (1 0 1)
- 28.70 deg, I = 34, (0 0 2)
- 33.79 deg, I = 42, (1 1 0)
- 44.91 deg, I = 39, (1 1 2)
- 48.53 deg, I = 16, (2 0 0)
- 50.28 deg, I = 20, (1 0 3)
- 56.84 deg, I = 28, (2 1 1)
- 57.37 deg, I = 19, (2 0 2)

Atomic structure:
abc: 3.7515 3.7515 6.2202
angles: 90.00 90.00 90.00
Space group P4/mmm (No. 123)
One atom of each set of equivalent atoms:
Na (0.0000, 0.0000, 0.0000) x1
As (0.5000, 0.5000, 0.0000) x1
H (0.0000, 0.5000, 0.5000) x2
Au (0.0000, 0.0000, 0.5000) x1

***

[8]
TlAsHAu2: computed powder diffractogram (λ = 1.5418 Å (Cu Kα)), based on a cell relaxed with GGA-PBE.
Lines closer than 0.1° are merged.

Main lines, low angle first (2θ from 5° to 70°):
- 24.76 deg, I = 16, (0 0 1)
- 30.21 deg, I = 41, (1 0 1)
- 34.46 deg, I = 87, (2 0 0)
- 34.88 deg, I = 100, (1 1 1)
- 42.90 deg, I = 16, (2 0 1)
- 46.47 deg, I = 25, (2 1 1)
- 49.53 deg, I = 32, (2 2 0)
- 50.79 deg, I = 15, (0 0 2)
- 62.01 deg, I = 39, (3 1 1)
- 62.82 deg, I = 31, (2 0 2)

Atomic structure:
abc: 5.2051 5.2051 3.5955
angles: 90.00 90.00 90.00
Space group P4/mmm (No. 123)
One atom of each set of equivalent atoms:
Tl (0.0000, 0.0000, 0.0000) x1
As (0.5000, 0.5000, 0.5000) x1
H (0.5000, 0.5000, 0.0000) x1
Au (0.0000, 0.5000, 0.5000) x2